Record 1
Pr2Nd6Sm3: calculated powder diffraction line list (Cu Kα, 1.54184 Å), based on a crystal structure in Alexandria, relaxed with PBE.
Intensities are scaled so that the largest is 100.

Main lines, in order of rising 2θ (10 to 80 degrees two-theta):
| Position (°2θ) | I/Imax |
| --- | --- |
| 29.8 | 100 |
| 34.5 | 51 |
| 49.6 | 36 |
| 59.0 | 43 |
| 61.9 | 12 |
| 72.8 | 6 |

Structure:
```
data_Pr2Nd6Sm3
_chemical_formula_sum 'Pr6 Nd18 Sm9'
_symmetry_space_group_name_H-M 'R -3 m'
_symmetry_Int_Tables_number 166
_symmetry_space_group_name_Hall '-R 3 2"'
_cell_length_a 3.6716
_cell_length_b 3.6716
_cell_length_c 98.9979
_cell_angle_alpha 90.00
_cell_angle_beta 90.00
_cell_angle_gamma 120.00
loop_
_atom_site_label
_atom_site_type_symbol
_atom_site_fract_x
_atom_site_fract_y
_atom_site_fract_z
Pr1 Pr 0.0000 0.0000 0.0459
Nd1 Nd 0.0000 0.0000 0.1367
Nd2 Nd 0.0000 0.0000 0.3181
Nd3 Nd 0.0000 0.0000 0.4099
Sm1 Sm 0.0000 0.0000 0.2267
Sm2 Sm 0.0000 0.0000 0.5000
```

Record 2
Pr4Nd3Sm5: calculated powder diffraction line list (Cu Kα, 1.54184 Å), based on a crystal structure in Alexandria, relaxed with PBE.
Intensities are scaled so that the largest is 100.

Main lines, in order of rising 2θ (10 to 80 degrees two-theta):
| Position (°2θ) | I/Imax |
| --- | --- |
| 29.8 | 100 |
| 34.6 | 51 |
| 49.7 | 30 |
| 49.7 | 6 |
| 59.0 | 25 |
| 59.1 | 18 |
| 61.9 | 12 |
| 72.9 | 4 |

Structure:
```
data_Pr4Nd3Sm5
_chemical_formula_sum 'Pr4 Nd3 Sm5'
_symmetry_space_group_name_H-M 'P -1'
_symmetry_Int_Tables_number 2
_cell_length_a 6.361
_cell_length_b 7.333
_cell_length_c 9.000
_cell_angle_alpha 90.03
_cell_angle_beta 90.08
_cell_angle_gamma 90.02
loop_
_symmetry_equiv_pos_as_xyz
'x,y,z'
'-x,-y,-z'
loop_
_atom_site_label
_atom_site_type_symbol
_atom_site_fract_x
_atom_site_fract_y
_atom_site_fract_z
Pr1 Pr 0.167 0.001 0.168
Pr2 Pr 0.333 0.251 0.832
Nd1 Nd 0.333 0.748 0.832
Nd2 Nd 0.500 0.500 0.500
Sm1 Sm 0.000 0.251 0.500
Sm2 Sm 0.166 0.500 0.168
Sm3 Sm 0.500 0.000 0.500
```

Record 3
Pr2Nd5Sm3: calculated powder diffraction line list (Cu Kα, 1.54184 Å), based on a crystal structure in Alexandria, relaxed with PBE.
Intensities are scaled so that the largest is 100.

Main lines, in order of rising 2θ (10 to 80 degrees two-theta):
| Position (°2θ) | I/Imax |
| --- | --- |
| 29.5 | 100 |
| 29.9 | 53 |
| 29.9 | 52 |
| 31.6 | 23 |
| 32.4 | 49 |
| 48.2 | 21 |
| 56.2 | 22 |
| 65.7 | 22 |

Structure:
```
data_Pr2Nd5Sm3
_chemical_formula_sum 'Pr8 Nd20 Sm12'
_symmetry_space_group_name_H-M 'C 1 2/c 1'
_symmetry_Int_Tables_number 15
_cell_length_a 11.064
_cell_length_b 15.783
_cell_length_c 9.831
_cell_angle_alpha 90.00
_cell_angle_beta 124.07
_cell_angle_gamma 90.00
loop_
_symmetry_equiv_pos_as_xyz
'x,y,z'
'-x,-y,-z'
'-x,y,-z+1/2'
'x,-y,z+1/2'
'x+1/2,y+1/2,z'
'-x+1/2,-y+1/2,-z'
'-x+1/2,y+1/2,-z+1/2'
'x+1/2,-y+1/2,z+1/2'
loop_
_atom_site_label
_atom_site_type_symbol
_atom_site_fract_x
_atom_site_fract_y
_atom_site_fract_z
Pr1 Pr 0.145 0.125 0.052
Nd1 Nd 0.000 0.229 0.250
Nd2 Nd 0.000 0.273 0.750
Nd3 Nd 0.000 0.472 0.750
Nd4 Nd 0.236 0.378 0.225
Sm1 Sm 0.000 0.021 0.250
Sm2 Sm 0.157 0.377 0.548
```

Record 4
Pr5Nd2Sm12: calculated powder diffraction line list (Cu Kα, 1.54184 Å), based on a crystal structure in Alexandria, relaxed with PBE.
Intensities are scaled so that the largest is 100.

Main lines, in order of rising 2θ (10 to 80 degrees two-theta):
| Position (°2θ) | I/Imax |
| --- | --- |
| 27.4 | 33 |
| 29.4 | 67 |
| 30.7 | 100 |
| 31.3 | 31 |
| 32.2 | 18 |
| 32.4 | 46 |
| 38.8 | 16 |
| 50.6 | 16 |

Structure:
```
data_Pr5Nd2Sm12
_chemical_formula_sum 'Pr10 Nd4 Sm24'
_symmetry_space_group_name_H-M 'C 1 2/m 1'
_symmetry_Int_Tables_number 12
_cell_length_a 18.744
_cell_length_b 7.216
_cell_length_c 10.580
_cell_angle_alpha 90.00
_cell_angle_beta 111.34
_cell_angle_gamma 90.00
loop_
_symmetry_equiv_pos_as_xyz
'x,y,z'
'-x,-y,-z'
'-x,y,-z'
'x,-y,z'
'x+1/2,y+1/2,z'
'-x+1/2,-y+1/2,-z'
'-x+1/2,y+1/2,-z'
'x+1/2,-y+1/2,z'
loop_
_atom_site_label
_atom_site_type_symbol
_atom_site_fract_x
_atom_site_fract_y
_atom_site_fract_z
Pr1 Pr 0.000 0.000 0.000
Pr2 Pr 0.177 0.500 0.712
Pr3 Pr 0.188 0.000 0.683
Nd1 Nd 0.000 0.280 0.500
Sm1 Sm 0.001 0.500 0.173
Sm2 Sm 0.027 0.000 0.745
Sm3 Sm 0.158 0.247 0.367
Sm4 Sm 0.165 0.253 0.021
```

Record 5
PrNd2Sm4: calculated powder diffraction line list (Cu Kα, 1.54184 Å), based on a crystal structure in Alexandria, relaxed with PBE.
Intensities are scaled so that the largest is 100.

Main lines, in order of rising 2θ (10 to 80 degrees two-theta):
| Position (°2θ) | I/Imax |
| --- | --- |
| 27.4 | 35 |
| 30.3 | 62 |
| 30.9 | 83 |
| 33.1 | 100 |
| 41.3 | 23 |
| 50.2 | 23 |
| 59.7 | 27 |
| 60.8 | 25 |

Structure:
```
data_PrNd2Sm4
_chemical_formula_sum 'Pr2 Nd4 Sm8'
_symmetry_space_group_name_H-M 'I m m m'
_symmetry_Int_Tables_number 71
_symmetry_space_group_name_Hall '-I 2 2'
_cell_length_a 3.583
_cell_length_b 5.906
_cell_length_c 23.204
_cell_angle_alpha 90.00
_cell_angle_beta 90.00
_cell_angle_gamma 90.00
loop_
_atom_site_label
_atom_site_type_symbol
_atom_site_fract_x
_atom_site_fract_y
_atom_site_fract_z
Pr1 Pr 0.000 0.000 0.000
Nd1 Nd 0.000 0.000 0.276
Sm1 Sm 0.000 0.500 0.084
Sm2 Sm 0.000 0.500 0.363
```

Record 6
Pr2Nd3Sm4: calculated powder diffraction line list (Cu Kα, 1.54184 Å), based on a crystal structure in Alexandria, relaxed with PBE.
Intensities are scaled so that the largest is 100.

Main lines, in order of rising 2θ (10 to 80 degrees two-theta):
| Position (°2θ) | I/Imax |
| --- | --- |
| 28.1 | 47 |
| 29.4 | 49 |
| 31.1 | 65 |
| 32.6 | 100 |
| 41.1 | 31 |
| 49.7 | 37 |
| 55.3 | 31 |
| 58.9 | 42 |

Structure:
```
data_Pr2Nd3Sm4
_chemical_formula_sum 'Pr2 Nd3 Sm4'
_symmetry_space_group_name_H-M 'P 3 m 1'
_symmetry_Int_Tables_number 156
_cell_length_a 3.6655
_cell_length_b 3.6655
_cell_length_c 27.3167
_cell_angle_alpha 90.00
_cell_angle_beta 90.00
_cell_angle_gamma 120.00
loop_
_symmetry_equiv_pos_as_xyz
'x,y,z'
'-y,x-y,z'
'-x+y,-x,z'
'-y,-x,z'
'-x+y,y,z'
'x,x-y,z'
loop_
_atom_site_label
_atom_site_type_symbol
_atom_site_fract_x
_atom_site_fract_y
_atom_site_fract_z
Pr1 Pr 0.0000 0.0000 0.0000
Pr2 Pr 0.0000 0.0000 0.2221
Nd1 Nd 0.0000 0.0000 0.7820
Nd2 Nd 0.3333 0.6667 0.1143
Nd3 Nd 0.3333 0.6667 0.4542
Sm1 Sm 0.0000 0.0000 0.3490
Sm2 Sm 0.0000 0.0000 0.5662
Sm3 Sm 0.3333 0.6667 0.6721
Sm4 Sm 0.3333 0.6667 0.8912
```

Record 7
PrNd2Sm6: calculated powder diffraction line list (Cu Kα, 1.54184 Å), based on a crystal structure in Alexandria, relaxed with PBE.
Intensities are scaled so that the largest is 100.

Main lines, in order of rising 2θ (10 to 80 degrees two-theta):
| Position (°2θ) | I/Imax |
| --- | --- |
| 30.9 | 100 |
| 31.0 | 55 |
| 44.3 | 18 |
| 54.9 | 9 |
| 55.0 | 25 |
| 55.1 | 10 |
| 61.3 | 16 |
| 61.4 | 10 |

Structure:
```
data_PrNd2Sm6
_chemical_formula_sum 'Pr2 Nd4 Sm12'
_symmetry_space_group_name_H-M 'C 1 2/m 1'
_symmetry_Int_Tables_number 12
_cell_length_a 17.369
_cell_length_b 9.988
_cell_length_c 3.549
_cell_angle_alpha 90.00
_cell_angle_beta 90.08
_cell_angle_gamma 90.00
loop_
_symmetry_equiv_pos_as_xyz
'x,y,z'
'-x,-y,-z'
'-x,y,-z'
'x,-y,z'
'x+1/2,y+1/2,z'
'-x+1/2,-y+1/2,-z'
'-x+1/2,y+1/2,-z'
'x+1/2,-y+1/2,z'
loop_
_atom_site_label
_atom_site_type_symbol
_atom_site_fract_x
_atom_site_fract_y
_atom_site_fract_z
Pr1 Pr 0.000 0.000 0.000
Nd1 Nd 0.167 0.500 0.000
Sm1 Sm 0.000 0.333 0.500
Sm2 Sm 0.167 0.167 0.500
```

Record 8
Pr8Nd3Sm: calculated powder diffraction line list (Cu Kα, 1.54184 Å), based on a crystal structure in Alexandria, relaxed with PBE.
Intensities are scaled so that the largest is 100.

Main lines, in order of rising 2θ (10 to 80 degrees two-theta):
| Position (°2θ) | I/Imax |
| --- | --- |
| 15.3 | 19 |
| 30.2 | 45 |
| 30.6 | 38 |
| 30.8 | 100 |
| 34.4 | 31 |
| 49.6 | 20 |
| 53.9 | 24 |
| 64.1 | 21 |

Structure:
```
data_Pr8Nd3Sm
_chemical_formula_sum 'Pr16 Nd6 Sm2'
_symmetry_space_group_name_H-M 'I m m m'
_symmetry_Int_Tables_number 71
_symmetry_space_group_name_Hall '-I 2 2'
_cell_length_a 6.710
_cell_length_b 11.531
_cell_length_c 11.847
_cell_angle_alpha 90.00
_cell_angle_beta 90.00
_cell_angle_gamma 90.00
loop_
_atom_site_label
_atom_site_type_symbol
_atom_site_fract_x
_atom_site_fract_y
_atom_site_fract_z
Pr1 Pr 0.000 0.164 0.250
Pr2 Pr 0.246 0.255 0.000
Nd1 Nd 0.000 0.000 0.000
Nd2 Nd 0.000 0.500 0.247
Sm1 Sm 0.000 0.000 0.500
```

Which formula does entry 8 have? Pr8Nd3Sm